Entry 1:
For Rb14Dy2O9, DFT lattice parameters and positions (PBE) gives the simulated PXRD pattern in this record (Cu Kα (λ = 1.5418 Å)).
Lines closer than 0.1° are merged.

Main lines, sorted by position (15 to 90 degrees two-theta):
- 3.431 Å, intensity 24
- 3.410 Å, intensity 19
- 3.376 Å, intensity 100
- 2.643 Å, intensity 33
- 2.394 Å, intensity 36
- 2.380 Å, intensity 41
- 1.953 Å, intensity 16
- 1.772 Å, intensity 11
- 1.766 Å, intensity 10
- 1.630 Å, intensity 16
- 1.513 Å, intensity 11
- 1.506 Å, intensity 11

Structure:
Cell lengths 8.293, 8.293, 11.625 Å; angles 90.00, 90.00, 120.00 degrees
Atoms (fractional coordinates):
Rb 0.000 0.000 0.250
Rb 0.000 0.000 0.750
Rb 0.023 0.667 0.405
Rb 0.095 0.390 0.093
Rb 0.295 0.905 0.093
Rb 0.333 0.356 0.405
Rb 0.356 0.023 0.595
Rb 0.390 0.295 0.907
Rb 0.610 0.705 0.093
Rb 0.644 0.977 0.405
Rb 0.667 0.644 0.595
Rb 0.705 0.095 0.907
Rb 0.905 0.610 0.907
Rb 0.977 0.333 0.595
Dy 0.333 0.667 0.782
Dy 0.667 0.333 0.218
O 0.000 0.000 0.500
O 0.119 0.391 0.843
O 0.272 0.881 0.843
O 0.333 0.667 0.596
O 0.391 0.272 0.157
O 0.609 0.728 0.843
O 0.667 0.333 0.404
O 0.728 0.119 0.157
O 0.881 0.609 0.157

***

Entry 2:
For ErCO4, DFT lattice parameters and positions (PBE) gives the simulated PXRD pattern in this record (Cu Kα (λ = 1.5418 Å)).
Lines closer than 0.1° are merged.

Main lines, sorted by position (15 to 90 degrees two-theta):
- 5.592 Å, intensity 62
- 4.469 Å, intensity 41
- 4.209 Å, intensity 100
- 3.629 Å, intensity 38
- 3.326 Å, intensity 51
- 2.969 Å, intensity 39
- 2.865 Å, intensity 47
- 2.751 Å, intensity 32
- 2.384 Å, intensity 55
- 2.106 Å, intensity 31
- 1.938 Å, intensity 29
- 1.736 Å, intensity 28

Structure:
Cell lengths 4.770, 7.167, 8.939 Å; angles 90.00, 90.00, 90.00 degrees
Atoms (fractional coordinates):
Er 0.033 0.142 0.170
Er 0.467 0.858 0.670
Er 0.533 0.358 0.830
Er 0.967 0.642 0.330
C 0.018 0.037 0.841
C 0.482 0.963 0.341
C 0.518 0.463 0.159
C 0.982 0.537 0.659
O 0.025 0.836 0.144
O 0.049 0.428 0.766
O 0.159 0.623 0.573
O 0.213 0.938 0.368
O 0.287 0.062 0.868
O 0.341 0.377 0.073
O 0.451 0.572 0.266
O 0.475 0.164 0.644
O 0.525 0.664 0.856
O 0.549 0.072 0.234
O 0.659 0.877 0.427
O 0.713 0.562 0.632
O 0.787 0.438 0.132
O 0.841 0.123 0.927
O 0.951 0.928 0.734
O 0.975 0.336 0.356

***

Entry 3:
For KSr2Ru, DFT lattice parameters and positions (PBE) gives the simulated PXRD pattern in this record (Cu Kα (λ = 1.5418 Å)).
Lines closer than 0.1° are merged.

Main lines, sorted by position (15 to 90 degrees two-theta):
- 5.570 Å, intensity 12
- 3.102 Å, intensity 74
- 2.637 Å, intensity 100
- 2.632 Å, intensity 15
- 2.569 Å, intensity 26
- 2.233 Å, intensity 49
- 1.867 Å, intensity 19
- 1.600 Å, intensity 19
- 1.523 Å, intensity 22
- 1.519 Å, intensity 17
- 1.432 Å, intensity 24
- 1.181 Å, intensity 13

Structure:
Cell lengths 3.734, 3.734, 11.141 Å; angles 90.00, 90.05, 90.00 degrees
Atoms (fractional coordinates):
K 0.000 0.000 0.000
Sr 0.498 0.500 0.345
Sr 0.502 0.500 0.655
Ru 0.000 0.000 0.500

***

Entry 4:
For Er3CS, DFT lattice parameters and positions (PBE) gives the simulated PXRD pattern in this record (Cu Kα (λ = 1.5418 Å)).
Lines closer than 0.1° are merged.

Main lines, sorted by position (15 to 90 degrees two-theta):
- 3.160 Å, intensity 50
- 3.149 Å, intensity 78
- 3.115 Å, intensity 21
- 3.096 Å, intensity 77
- 3.007 Å, intensity 62
- 2.723 Å, intensity 100
- 2.429 Å, intensity 34
- 2.406 Å, intensity 54
- 2.073 Å, intensity 23
- 1.828 Å, intensity 42
- 1.763 Å, intensity 28
- 1.626 Å, intensity 34

Structure:
Cell lengths 3.548, 6.722, 9.375 Å; angles 90.00, 97.83, 90.00 degrees
Atoms (fractional coordinates):
Er 0.101 0.250 0.499
Er 0.325 0.022 0.194
Er 0.325 0.478 0.194
Er 0.675 0.522 0.806
Er 0.675 0.978 0.806
Er 0.899 0.750 0.501
C 0.161 0.750 0.735
C 0.839 0.250 0.265
S 0.225 0.250 0.933
S 0.775 0.750 0.067

***

Entry 5:
For TlInHgAu2, DFT lattice parameters and positions (PBE) gives the simulated PXRD pattern in this record (Cu Kα (λ = 1.5418 Å)).
Lines closer than 0.1° are merged.

Main lines, sorted by position (15 to 90 degrees two-theta):
- 3.841 Å, intensity 62
- 3.459 Å, intensity 48
- 3.046 Å, intensity 81
- 2.644 Å, intensity 100
- 2.604 Å, intensity 69
- 2.472 Å, intensity 86
- 2.454 Å, intensity 48
- 2.412 Å, intensity 89
- 2.192 Å, intensity 77
- 2.136 Å, intensity 88
- 2.125 Å, intensity 46
- 1.617 Å, intensity 47

Structure:
Cell lengths 7.861, 7.861, 8.847 Å; angles 116.46, 116.46, 31.54 degrees
Atoms (fractional coordinates):
Tl 0.248 0.248 0.167
Tl 0.752 0.752 0.833
In 0.039 0.039 0.720
In 0.961 0.961 0.280
Hg 0.369 0.369 0.689
Hg 0.631 0.631 0.311
Au 0.157 0.157 0.554
Au 0.415 0.415 0.048
Au 0.585 0.585 0.952
Au 0.843 0.843 0.446

***

Entry 6:
For PmDy12Y5, DFT lattice parameters and positions (PBE) gives the simulated PXRD pattern in this record (Cu Kα (λ = 1.5418 Å)).
Lines closer than 0.1° are merged.

Main lines, sorted by position (15 to 90 degrees two-theta):
- 3.462 Å, intensity 3
- 2.903 Å, intensity 100
- 2.514 Å, intensity 50
- 2.300 Å, intensity 1
- 1.778 Å, intensity 36
- 1.516 Å, intensity 42
- 1.452 Å, intensity 12
- 1.258 Å, intensity 4
- 1.256 Å, intensity 2
- 1.154 Å, intensity 17
- 1.125 Å, intensity 11
- 1.124 Å, intensity 5

Structure:
Cell lengths 10.668, 10.668, 5.028 Å; angles 90.00, 90.00, 90.10 degrees
Atoms (fractional coordinates):
Pm 0.000 0.000 0.000
Dy 0.001 0.335 0.000
Dy 0.166 0.499 0.500
Dy 0.168 0.168 0.500
Dy 0.332 0.332 0.000
Dy 0.335 0.001 0.000
Dy 0.499 0.166 0.500
Dy 0.501 0.834 0.500
Dy 0.665 0.999 0.000
Dy 0.668 0.668 0.000
Dy 0.832 0.832 0.500
Dy 0.834 0.501 0.500
Dy 0.999 0.665 0.000
Y 0.167 0.833 0.500
Y 0.334 0.666 0.000
Y 0.500 0.500 0.500
Y 0.666 0.334 0.000
Y 0.833 0.167 0.500

***

Entry 7:
For AcSi2Pd4, DFT lattice parameters and positions (PBE) gives the simulated PXRD pattern in this record (Cu Kα (λ = 1.5418 Å)).
Lines closer than 0.1° are merged.

Main lines, sorted by position (15 to 90 degrees two-theta):
- 4.197 Å, intensity 13
- 3.678 Å, intensity 14
- 3.118 Å, intensity 13
- 2.644 Å, intensity 9
- 2.550 Å, intensity 100
- 2.215 Å, intensity 44
- 2.196 Å, intensity 13
- 1.567 Å, intensity 15
- 1.560 Å, intensity 18
- 1.335 Å, intensity 26
- 1.326 Å, intensity 11
- 1.275 Å, intensity 9

Structure:
Cell lengths 6.949, 6.949, 4.434 Å; angles 90.00, 90.00, 142.85 degrees
Atoms (fractional coordinates):
Ac 0.000 0.000 0.000
Si 0.398 0.602 0.500
Si 0.602 0.398 0.500
Pd 0.181 0.819 0.500
Pd 0.321 0.679 0.000
Pd 0.679 0.321 0.000
Pd 0.819 0.181 0.500

***

Entry 8:
For Ti8Al2Re, DFT lattice parameters and positions (PBE) gives the simulated PXRD pattern in this record (Cu Kα (λ = 1.5418 Å)).
Lines closer than 0.1° are merged.

Main lines, sorted by position (15 to 90 degrees two-theta):
- 5.577 Å, intensity 44
- 4.320 Å, intensity 16
- 3.590 Å, intensity 11
- 3.209 Å, intensity 33
- 2.460 Å, intensity 22
- 2.285 Å, intensity 27
- 2.209 Å, intensity 100
- 2.114 Å, intensity 8
- 2.025 Å, intensity 8
- 1.839 Å, intensity 7
- 1.589 Å, intensity 11
- 1.304 Å, intensity 14

Structure:
Cell lengths 7.660, 7.660, 7.660 Å; angles 145.29, 132.69, 59.99 degrees
Atoms (fractional coordinates):
Ti 0.134 0.362 0.772
Ti 0.174 0.174 0.000
Ti 0.263 0.000 0.263
Ti 0.411 0.638 0.772
Ti 0.589 0.362 0.228
Ti 0.737 0.000 0.737
Ti 0.826 0.826 0.000
Ti 0.866 0.638 0.228
Al 0.312 0.812 0.500
Al 0.688 0.188 0.500
Re 0.000 0.500 0.500